This entry pairs a crystal structure of CaTl2MoO6 with its computed X-ray diffraction stick pattern. Radiation: Cu Kα X-rays. Structure: a PBE+U-relaxed structure.
Neutral-atom scattering factors, no anomalous dispersion.

a = 7.1493 Å, b = 7.1493 Å, c = 6.1310 Å
α = 95.35°, β = 95.35°, γ = 97.15°
Positions (direct):
Ca1 0.0790 0.9210 0.7500
Ca2 0.9210 0.0790 0.2500
Tl1 0.2458 0.4456 0.7235
Tl2 0.4456 0.2458 0.2235
Tl3 0.5544 0.7542 0.7765
Tl4 0.7542 0.5544 0.2765
Mo1 0.2572 0.7428 0.2500
Mo2 0.7428 0.2572 0.7500
O1 0.0221 0.2168 0.6381
O2 0.1287 0.6735 0.9624
O3 0.2168 0.0221 0.1381
O4 0.2402 0.4985 0.3315
O5 0.3265 0.8713 0.5376
O6 0.4985 0.2402 0.8315
O7 0.5015 0.7598 0.1685
O8 0.6735 0.1287 0.4624
O9 0.7598 0.5015 0.6685
O10 0.7832 0.9779 0.8619
O11 0.8713 0.3265 0.0376
O12 0.9779 0.7832 0.3619

Top 10 peaks for 10° ≤ 2θ ≤ 80°, sorted by position:
- 7.054 Å, rel. 49
- 4.018 Å, rel. 75
- 3.035 Å, rel. 47
- 2.993 Å, rel. 100
- 2.918 Å, rel. 19
- 2.902 Å, rel. 19
- 2.845 Å, rel. 25
- 2.554 Å, rel. 17
- 2.002 Å, rel. 18
- 1.769 Å, rel. 37

=====

This entry pairs a crystal structure of CaY5Mo2O12 with its computed X-ray diffraction stick pattern. Radiation: Cu Kα X-rays. Structure: a PBE+U-relaxed structure.
Neutral-atom scattering factors, no anomalous dispersion.

a = 6.9799 Å, b = 6.9799 Å, c = 7.5333 Å
α = 105.26°, β = 105.26°, γ = 50.83°
Positions (direct):
Ca1 0.0000 0.0000 0.0000
Y1 0.2000 0.2000 0.3624
Y2 0.2090 0.2090 0.8515
Y3 0.5000 0.5000 0.0000
Y4 0.7910 0.7910 0.1485
Y5 0.8000 0.8000 0.6376
Mo1 0.2851 0.7149 0.5000
Mo2 0.7149 0.2851 0.5000
O1 0.0041 0.0041 0.3113
O2 0.0616 0.5954 0.4036
O3 0.0952 0.6109 0.9356
O4 0.3891 0.9048 0.0644
O5 0.4046 0.9384 0.5964
O6 0.4864 0.4864 0.7046
O7 0.5136 0.5136 0.2954
O8 0.5954 0.0616 0.4036
O9 0.6109 0.0952 0.9356
O10 0.9048 0.3891 0.0644
O11 0.9384 0.4046 0.5964
O12 0.9959 0.9959 0.6887

Top 10 peaks for 10° ≤ 2θ ≤ 80°, sorted by position:
- 3.603 Å, rel. 26
- 3.339 Å, rel. 83
- 3.189 Å, rel. 100
- 3.015 Å, rel. 48
- 2.763 Å, rel. 57
- 2.738 Å, rel. 30
- 2.628 Å, rel. 28
- 2.010 Å, rel. 20
- 1.883 Å, rel. 37
- 1.685 Å, rel. 30

=====

This entry pairs a crystal structure of CaY5Mo2O12 with its computed X-ray diffraction stick pattern. Radiation: Cu Kα X-rays. Structure: a PBE+U-relaxed structure.
Neutral-atom scattering factors, no anomalous dispersion.

a = 5.9896 Å, b = 6.9706 Å, c = 7.5817 Å
α = 104.99°, β = 90.31°, γ = 114.25°
Positions (direct):
Ca1 0.0000 0.0000 0.0000
Y1 0.2172 0.3547 0.3640
Y2 0.4694 0.9269 0.9994
Y3 0.5021 0.9486 0.4772
Y4 0.8663 0.6816 0.2056
Y5 0.8670 0.6816 0.6441
Mo1 0.4221 0.3384 0.8408
Mo2 0.9331 0.3331 0.8396
O1 0.0714 0.6810 0.9291
O2 0.0995 0.6431 0.4187
O3 0.1911 0.3555 0.0544
O4 0.1969 0.3507 0.6497
O5 0.2647 0.0011 0.7654
O6 0.2693 0.0194 0.2548
O7 0.5932 0.6347 0.4130
O8 0.6161 0.6658 0.9337
O9 0.6631 0.3169 0.0321
O10 0.6672 0.3218 0.6351
O11 0.7489 0.9778 0.7525
O12 0.7763 0.0078 0.2553

Top 10 peaks for 10° ≤ 2θ ≤ 80°, sorted by position:
- 3.394 Å, rel. 100
- 3.331 Å, rel. 100
- 3.211 Å, rel. 76
- 3.195 Å, rel. 75
- 2.788 Å, rel. 73
- 2.768 Å, rel. 50
- 2.753 Å, rel. 67
- 2.310 Å, rel. 58
- 2.030 Å, rel. 86
- 1.895 Å, rel. 59

=====

This entry pairs a crystal structure of CaY5Mo2O12 with its computed X-ray diffraction stick pattern. Radiation: Cu Kα X-rays. Structure: a PBE+U-relaxed structure.
Neutral-atom scattering factors, no anomalous dispersion.

a = 5.8217 Å, b = 6.6665 Å, c = 8.7372 Å
α = 104.79°, β = 95.51°, γ = 115.68°
Positions (direct):
Ca1 0.0000 0.0000 0.0000
Y1 0.0057 0.0877 0.5786
Y2 0.1840 0.5159 0.3430
Y3 0.4599 0.9682 0.7153
Y4 0.5065 0.0723 0.2978
Y5 0.7941 0.5507 0.6470
Mo1 0.2426 0.5477 0.9670
Mo2 0.6837 0.4507 0.0330
O1 0.0763 0.7825 0.5237
O2 0.1111 0.7171 0.1564
O3 0.1997 0.7742 0.8482
O4 0.3397 0.3672 0.1378
O5 0.3520 0.2852 0.8200
O6 0.3810 0.2917 0.4691
O7 0.5556 0.8695 0.4550
O8 0.6515 0.7436 0.0690
O9 0.7691 0.2502 0.1415
O10 0.7736 0.8782 0.7472
O11 0.8314 0.3464 0.8345
O12 0.9014 0.3134 0.4727

Top 10 peaks for 10° ≤ 2θ ≤ 80°, sorted by position:
- 4.077 Å, rel. 40
- 3.133 Å, rel. 65
- 3.004 Å, rel. 100
- 2.897 Å, rel. 75
- 2.880 Å, rel. 44
- 2.860 Å, rel. 89
- 2.835 Å, rel. 42
- 2.057 Å, rel. 40
- 1.996 Å, rel. 36
- 1.706 Å, rel. 32